This entry pairs a crystal structure of BaEuCrSnO6 with its simulated X-ray powder pattern. Radiation: Cu Kα (weighted mean of Kα1 and Kα2). Structure: a GGA+U-relaxed structure.

Atomic structure:
```
data_BaEuCrSnO6
_symmetry_space_group_name_H-M 'P 1'
_symmetry_Int_Tables_number 1
_cell_length_a 5.7275
_cell_length_b 5.7275
_cell_length_c 5.7275
_cell_angle_alpha 60.00
_cell_angle_beta 60.00
_cell_angle_gamma 60.00
loop_
_symmetry_equiv_pos_as_xyz
'x,y,z'
loop_
_atom_site_label
_atom_site_fract_x
_atom_site_fract_y
_atom_site_fract_z
_atom_site_occupancy
Ba1 0.0000 0.0000 0.0000 1
Eu1 0.5000 0.5000 0.5000 1
Cr1 0.2500 0.2500 0.2500 1
Sn1 0.7500 0.7500 0.7500 1
O1 0.0044 0.0044 0.4956 1
O2 0.0044 0.4956 0.0044 1
O3 0.0044 0.4956 0.4956 1
O4 0.4956 0.0044 0.0044 1
O5 0.4956 0.0044 0.4956 1
O6 0.4956 0.4956 0.0044 1
```

Main lines, by intensity (10 to 90 degrees two-theta):
31.2°, I 100
55.6°, I 40
44.8°, I 31
65.1°, I 19
74.0°, I 18
38.5°, I 9
82.5°, I 6
19.0°, I 5
36.8°, I 4
21.9°, I 3